Diffraction record for HgPd14Au. The PXRD pattern is calculated, not measured: it uses the GGA-PBE geometry in Alexandria and Cu Kα (weighted mean of Kα1 and Kα2).

Crystal structure
```
data_HgPd14Au
_chemical_formula_sum 'Hg2 Pd28 Au2'
_space_group_name_H-M_alt 'A m m 2'
_space_group_IT_number 38
_cell_length_a 9.281
_cell_length_b 5.637
_cell_length_c 9.726
_cell_angle_alpha 90.00
_cell_angle_beta 90.00
_cell_angle_gamma 90.00
loop_
_space_group_symop_operation_xyz
'x,y,z'
'-x,-y,z'
'-x,y,z'
'x,-y,z'
'x,y+1/2,z+1/2'
'-x,-y+1/2,z+1/2'
'-x,y+1/2,z+1/2'
'x,-y+1/2,z+1/2'
loop_
_atom_site_label
_atom_site_type_symbol
_atom_site_fract_x
_atom_site_fract_y
_atom_site_fract_z
Hg1 Hg 0.000 0.000 0.000
Pd1 Pd 0.000 0.250 0.250
Pd2 Pd 0.252 0.000 0.333
Pd3 Pd 0.253 0.000 0.832
Pd4 Pd 0.255 0.249 0.584
Pd5 Pd 0.500 0.000 0.166
Pd6 Pd 0.500 0.000 0.666
Pd7 Pd 0.500 0.250 0.416
Au1 Au 0.000 0.000 0.500
```

Main lines, in order of rising 2θ (15° ≤ 2θ ≤ 90°):
38.2°, I = 55, hkl 1 2 2
38.3°, I = 28, hkl 1 0 4
38.8°, I = 58, hkl 4 0 0
41.8°, I = 100, hkl 2 2 2
41.9°, I = 49, hkl 2 0 4
47.5°, I = 44, hkl 3 0 4
63.0°, I = 20, hkl 5 0 4
66.5°, I = 23, hkl 0 2 6
72.3°, I = 19, hkl 6 2 2
79.6°, I = 17, hkl 4 4 0
79.8°, I = 28, hkl 4 2 6
81.6°, I = 14, hkl 2 4 4

Diffraction record for Hg8Pd3Au2. The PXRD pattern is calculated, not measured: it uses the GGA-PBE geometry in Alexandria and Cu Kα (weighted mean of Kα1 and Kα2).

Crystal structure
```
data_Hg8Pd3Au2
_chemical_formula_sum 'Hg8 Pd3 Au2'
_space_group_name_H-M_alt 'P 1 2/m 1'
_space_group_IT_number 10
_cell_length_a 8.344
_cell_length_b 4.501
_cell_length_c 8.429
_cell_angle_alpha 90.00
_cell_angle_beta 113.67
_cell_angle_gamma 90.00
loop_
_space_group_symop_operation_xyz
'x,y,z'
'-x,-y,-z'
'-x,y,-z'
'x,-y,z'
loop_
_atom_site_label
_atom_site_type_symbol
_atom_site_fract_x
_atom_site_fract_y
_atom_site_fract_z
Hg1 Hg 0.111 0.000 0.391
Hg2 Hg 0.122 0.500 0.867
Hg3 Hg 0.366 0.000 0.128
Hg4 Hg 0.367 0.500 0.622
Pd1 Pd 0.264 0.000 0.764
Pd2 Pd 0.500 0.500 0.000
Au1 Au 0.246 0.500 0.256
```

Main lines, in order of rising 2θ (15° ≤ 2θ ≤ 90°):
23.5°, I = 18, hkl 1 1 -1
25.4°, I = 19, hkl 2 0 -2
27.8°, I = 33, hkl 1 1 1
37.8°, I = 100, hkl 1 1 -3
38.1°, I = 98, hkl 3 1 -1
39.3°, I = 46, hkl 2 0 2
40.1°, I = 44, hkl 0 2 0
52.1°, I = 19, hkl 4 0 -4
57.4°, I = 31, hkl 2 2 2
67.7°, I = 17, hkl 4 2 -4
70.0°, I = 16, hkl 1 1 5
71.3°, I = 16, hkl 1 3 -3

Diffraction record for Hg2Pd4Au3. The PXRD pattern is calculated, not measured: it uses the GGA-PBE geometry in Alexandria and Cu Kα (weighted mean of Kα1 and Kα2).

Crystal structure
```
data_Hg2Pd4Au3
_chemical_formula_sum 'Hg8 Pd16 Au12'
_space_group_name_H-M_alt 'C 1 2/c 1'
_space_group_IT_number 15
_cell_length_a 12.955
_cell_length_b 9.635
_cell_length_c 5.293
_cell_angle_alpha 90.00
_cell_angle_beta 99.82
_cell_angle_gamma 90.00
loop_
_space_group_symop_operation_xyz
'x,y,z'
'-x,-y,-z'
'-x,y,-z+1/2'
'x,-y,z+1/2'
'x+1/2,y+1/2,z'
'-x+1/2,-y+1/2,-z'
'-x+1/2,y+1/2,-z+1/2'
'x+1/2,-y+1/2,z+1/2'
loop_
_atom_site_label
_atom_site_type_symbol
_atom_site_fract_x
_atom_site_fract_y
_atom_site_fract_z
Hg1 Hg 0.234 0.110 0.118
Pd1 Pd 0.057 0.260 0.005
Pd2 Pd 0.160 0.167 0.578
Au1 Au 0.000 0.006 0.250
Au2 Au 0.099 0.441 0.440
```

Main lines, in order of rising 2θ (15° ≤ 2θ ≤ 90°):
27.4°, I = 23, hkl 2 2 -1
35.0°, I = 27, hkl 3 3 0
36.4°, I = 47, hkl 5 1 0
37.5°, I = 100, hkl 1 1 2
37.7°, I = 21, hkl 5 1 -1
39.7°, I = 19, hkl 2 2 -2
40.0°, I = 39, hkl 2 4 0
40.2°, I = 18, hkl 4 2 1
40.8°, I = 68, hkl 4 0 -2
42.7°, I = 27, hkl 2 4 -1
44.4°, I = 18, hkl 1 3 -2
68.6°, I = 20, hkl 4 2 3

Diffraction record for Hg2Pd5Au4. The PXRD pattern is calculated, not measured: it uses the GGA-PBE geometry in Alexandria and Cu Kα (weighted mean of Kα1 and Kα2).

Crystal structure
```
data_Hg2Pd5Au4
_chemical_formula_sum 'Hg4 Pd10 Au8'
_space_group_name_H-M_alt 'P b a m'
_space_group_IT_number 55
_cell_length_a 6.985
_cell_length_b 18.580
_cell_length_c 3.012
_cell_angle_alpha 90.00
_cell_angle_beta 90.00
_cell_angle_gamma 90.00
loop_
_space_group_symop_operation_xyz
'x,y,z'
'-x,-y,-z'
'-x,-y,z'
'x,y,-z'
'x+1/2,-y+1/2,-z'
'-x+1/2,y+1/2,z'
'-x+1/2,y+1/2,-z'
'x+1/2,-y+1/2,z'
loop_
_atom_site_label
_atom_site_type_symbol
_atom_site_fract_x
_atom_site_fract_y
_atom_site_fract_z
Hg1 Hg 0.111 0.220 0.000
Pd1 Pd 0.000 0.500 0.500
Pd2 Pd 0.145 0.088 0.500
Pd3 Pd 0.210 0.830 0.500
Au1 Au 0.034 0.629 0.000
Au2 Au 0.177 0.959 0.000
```

Main lines, in order of rising 2θ (15° ≤ 2θ ≤ 90°):
29.4°, I = 29, hkl 2 3 0
29.7°, I = 30, hkl 0 0 1
35.5°, I = 37, hkl 1 3 1
36.2°, I = 61, hkl 1 7 0
37.9°, I = 100, hkl 1 4 1
39.0°, I = 67, hkl 3 1 0
40.7°, I = 94, hkl 1 5 1
41.0°, I = 47, hkl 1 8 0
42.2°, I = 85, hkl 2 3 1
44.2°, I = 41, hkl 2 4 1
68.1°, I = 32, hkl 0 12 1
76.5°, I = 30, hkl 3 11 1

Diffraction record for HgPd5Au8. The PXRD pattern is calculated, not measured: it uses the GGA-PBE geometry in Alexandria and Cu Kα (weighted mean of Kα1 and Kα2).

Crystal structure
```
data_HgPd5Au8
_chemical_formula_sum 'Hg2 Pd10 Au16'
_space_group_name_H-M_alt 'I -4'
_space_group_IT_number 82
_cell_length_a 7.920
_cell_length_b 7.920
_cell_length_c 8.237
_cell_angle_alpha 90.00
_cell_angle_beta 90.00
_cell_angle_gamma 90.00
loop_
_space_group_symop_operation_xyz
'x,y,z'
'y,-x,-z'
'-x,-y,z'
'-y,x,-z'
'x+1/2,y+1/2,z+1/2'
'y+1/2,-x+1/2,-z+1/2'
'-x+1/2,-y+1/2,z+1/2'
'-y+1/2,x+1/2,-z+1/2'
loop_
_atom_site_label
_atom_site_type_symbol
_atom_site_fract_x
_atom_site_fract_y
_atom_site_fract_z
Hg1 Hg 0.000 0.000 0.000
Pd1 Pd 0.000 0.500 0.250
Pd2 Pd 0.117 0.297 0.666
Au1 Au 0.065 0.167 0.337
Au2 Au 0.110 0.326 0.994
```

Main lines, in order of rising 2θ (15° ≤ 2θ ≤ 90°):
27.4°, I = 56, hkl 1 2 1
34.6°, I = 86, hkl 1 0 3
35.7°, I = 77, hkl 3 0 1
35.9°, I = 77, hkl 1 3 0
38.9°, I = 25, hkl 2 2 2
41.6°, I = 100, hkl 2 1 3
42.2°, I = 84, hkl 1 3 2
42.6°, I = 69, hkl 3 2 1
56.6°, I = 21, hkl 4 2 2
58.0°, I = 22, hkl 1 3 4
68.3°, I = 26, hkl 0 0 6
73.0°, I = 31, hkl 2 5 3

Diffraction record for HgPd3Au3. The PXRD pattern is calculated, not measured: it uses the GGA-PBE geometry in Alexandria and Cu Kα (weighted mean of Kα1 and Kα2).

Crystal structure
```
data_HgPd3Au3
_chemical_formula_sum 'Hg3 Pd9 Au9'
_space_group_name_H-M_alt 'R 3 m'
_space_group_IT_number 160
_space_group_name_Hall 'R 3 -2"'
_cell_length_a 9.1088
_cell_length_b 9.1088
_cell_length_c 5.5139
_cell_angle_alpha 90.00
_cell_angle_beta 90.00
_cell_angle_gamma 120.00
loop_
_atom_site_label
_atom_site_type_symbol
_atom_site_fract_x
_atom_site_fract_y
_atom_site_fract_z
Hg1 Hg 0.0000 0.0000 0.0000
Pd1 Pd 0.9998 0.4999 0.5012
Au1 Au 0.0001 0.5000 0.0013
```

Main lines, in order of rising 2θ (15° ≤ 2θ ≤ 90°):
27.8°, I = 43, hkl 0 2 1
39.6°, I = 100, hkl 2 2 0
39.9°, I = 98, hkl 2 0 2
49.1°, I = 10, hkl 4 0 1
57.5°, I = 34, hkl 0 4 2
64.8°, I = 9, hkl 2 4 1
65.2°, I = 9, hkl 2 2 3
71.8°, I = 18, hkl 6 0 0
72.0°, I = 35, hkl 4 2 2
72.7°, I = 17, hkl 0 2 4
85.2°, I = 11, hkl 4 4 0
86.1°, I = 11, hkl 4 0 4

Diffraction record for HgPd8Au6. The PXRD pattern is calculated, not measured: it uses the GGA-PBE geometry in Alexandria and Cu Kα (weighted mean of Kα1 and Kα2).

Crystal structure
```
data_HgPd8Au6
_chemical_formula_sum 'Hg1 Pd8 Au6'
_space_group_name_H-M_alt 'P 6/m m m'
_space_group_IT_number 191
_space_group_name_Hall '-P 6 2'
_cell_length_a 8.1254
_cell_length_b 8.1254
_cell_length_c 4.7139
_cell_angle_alpha 90.00
_cell_angle_beta 90.00
_cell_angle_gamma 120.00
loop_
_atom_site_label
_atom_site_type_symbol
_atom_site_fract_x
_atom_site_fract_y
_atom_site_fract_z
Hg1 Hg 0.0000 0.0000 0.0000
Pd1 Pd 0.0000 0.3290 0.5000
Pd2 Pd 0.3333 0.6667 0.5000
Au1 Au 0.2134 0.4268 0.0000
```

Main lines, in order of rising 2θ (15° ≤ 2θ ≤ 90°):
18.8°, I = 12, hkl 0 0 1
25.3°, I = 12, hkl 2 0 0
33.7°, I = 44, hkl 2 1 0
38.2°, I = 44, hkl 0 0 2
38.9°, I = 100, hkl 2 1 1
43.1°, I = 57, hkl 3 0 1
48.8°, I = 8, hkl 2 2 1
51.8°, I = 27, hkl 2 1 2
69.4°, I = 39, hkl 3 3 0
69.7°, I = 16, hkl 5 0 1
72.4°, I = 12, hkl 3 0 3
82.1°, I = 27, hkl 3 3 2

Diffraction record for HgPd7Au3. The PXRD pattern is calculated, not measured: it uses the GGA-PBE geometry in Alexandria and Cu Kα (weighted mean of Kα1 and Kα2).

Crystal structure
```
data_HgPd7Au3
_chemical_formula_sum 'Hg1 Pd7 Au3'
_space_group_name_H-M_alt 'P 1'
_space_group_IT_number 1
_cell_length_a 4.907
_cell_length_b 5.751
_cell_length_c 7.397
_cell_angle_alpha 101.58
_cell_angle_beta 97.51
_cell_angle_gamma 106.50
loop_
_space_group_symop_operation_xyz
'x,y,z'
loop_
_atom_site_label
_atom_site_type_symbol
_atom_site_fract_x
_atom_site_fract_y
_atom_site_fract_z
Hg1 Hg 0.000 0.000 0.000
Pd1 Pd 0.003 0.181 0.674
Pd2 Pd 0.004 0.351 0.350
Pd3 Pd 0.005 0.844 0.350
Pd4 Pd 0.486 0.593 0.844
Pd5 Pd 0.497 0.093 0.841
Pd6 Pd 0.504 0.430 0.179
Pd7 Pd 0.507 0.928 0.180
Au1 Au 0.509 0.269 0.515
Au2 Au 0.509 0.761 0.518
Au3 Au 0.996 0.510 0.007
```

Main lines, in order of rising 2θ (15° ≤ 2θ ≤ 90°):
20.8°, I = 15, hkl 1 0 -1
25.1°, I = 24, hkl 0 0 2
38.9°, I = 100, hkl 1 -2 2
39.1°, I = 98, hkl 2 0 0
44.5°, I = 34, hkl 1 2 -2
45.0°, I = 33, hkl -2 2 1
46.5°, I = 30, hkl 1 0 3
64.9°, I = 11, hkl 1 -4 1
78.1°, I = 13, hkl 0 4 -4
78.5°, I = 13, hkl 3 2 -2
78.8°, I = 13, hkl 3 -4 1
81.1°, I = 17, hkl 2 -2 5